Na3HfZnP3O12: computed PXRD pattern (copper Kα), based on the GGA-PBE geometry in the Materials Project.
Peak positions follow from Bragg's law for the DFT cell and can differ from measured ones.

Crystal structure
abc: 9.032 9.032 8.914
angles: 119.49 119.49 60.18
Fractional positions:
Na 0.058 0.942 0.500
Na 0.208 0.660 0.058
Na 0.571 0.790 0.318
Na 0.660 0.208 0.558
Na 0.790 0.571 0.818
Na 0.942 0.058 0.000
Hf 0.047 0.532 0.230
Hf 0.532 0.047 0.730
Zn 0.335 0.836 0.931
Zn 0.836 0.335 0.431
P 0.132 0.231 0.834
P 0.231 0.132 0.334
P 0.432 0.644 0.534
P 0.644 0.432 0.034
P 0.731 0.932 0.135
P 0.932 0.731 0.635
O 0.076 0.155 0.379
O 0.084 0.770 0.815
O 0.118 0.414 0.996
O 0.155 0.076 0.879
O 0.183 0.299 0.286
O 0.262 0.631 0.356
O 0.262 0.954 0.174
O 0.299 0.183 0.786
O 0.382 0.690 0.695
O 0.414 0.118 0.496
O 0.469 0.593 0.013
O 0.475 0.808 0.562
O 0.579 0.881 0.106
O 0.593 0.469 0.513
O 0.631 0.262 0.856
O 0.690 0.382 0.195
O 0.691 0.974 0.964
O 0.762 0.911 0.640
O 0.770 0.084 0.315
O 0.808 0.475 0.062
O 0.881 0.579 0.606
O 0.911 0.762 0.140
O 0.954 0.262 0.674
O 0.974 0.691 0.464

Main lines, low angle first (5° ≤ 2θ ≤ 70°):
| d (Å) | I_rel |
| --- | --- |
| 6.353 | 31 |
| 4.520 | 100 |
| 2.866 | 28 |
| 2.847 | 27 |
| 2.823 | 22 |
| 2.612 | 47 |